Diffraction record for Nd2Sm3Tm7. The powder diffraction line list is computed, not measured: it uses DFT lattice parameters and positions (GGA-PBE) and a wavelength of 1.5418 Å.
Kinematic intensities with the Lorentz-polarization factor, no thermal factor.

Top 10 peaks for 2θ = 10–90°, sorted by position:
2θ = 30.33°, 2.947 Å, I 53
2θ = 31.22°, 2.865 Å, I 24
2θ = 31.54°, 2.836 Å, I 58
2θ = 31.74°, 2.820 Å, I 100
2θ = 33.84°, 2.649 Å, I 36
2θ = 34.59°, 2.593 Å, I 23
2θ = 44.98°, 2.016 Å, I 18
2θ = 50.78°, 1.798 Å, I 24
2θ = 56.29°, 1.634 Å, I 20
2θ = 61.01°, 1.519 Å, I 18

Cell and atoms:
```
data_Nd2Sm3Tm7
_cell_length_a 19.1664
_cell_length_b 19.1664
_cell_length_c 3.5963
_cell_angle_alpha 90.00
_cell_angle_beta 90.00
_cell_angle_gamma 162.98
_symmetry_space_group_name_H-M 'P 1'
_symmetry_Int_Tables_number 1
loop_
_symmetry_equiv_pos_as_xyz
'x,y,z'
loop_
_atom_site_label
_atom_site_type_symbol
_atom_site_fract_x
_atom_site_fract_y
_atom_site_fract_z
Nd1 Nd 0.1463 0.8537 0.0000
Nd2 Nd 0.8537 0.1463 0.0000
Sm1 Sm 0.3140 0.6860 0.5000
Sm2 Sm 0.5000 0.5000 0.5000
Sm3 Sm 0.6860 0.3140 0.5000
Tm1 Tm 0.0000 0.0000 0.0000
Tm2 Tm 0.0706 0.9294 0.5000
Tm3 Tm 0.2303 0.7697 0.0000
Tm4 Tm 0.4111 0.5889 0.0000
Tm5 Tm 0.5889 0.4111 0.0000
Tm6 Tm 0.7697 0.2303 0.0000
Tm7 Tm 0.9294 0.0706 0.5000
```